# AgWF5
Computed PXRD pattern, λ = 1.5418 Å (Cu Kα). Input: a PBE+U-relaxed structure.
Lines closer than 0.1° are merged.

Structure:
```
data_AgWF5
_cell_length_a 9.5220
_cell_length_b 7.0939
_cell_length_c 8.2699
_cell_angle_alpha 90.00
_cell_angle_beta 113.96
_cell_angle_gamma 90.00
_symmetry_space_group_name_H-M 'C 1 2/c 1'
_symmetry_Int_Tables_number 15
_symmetry_space_group_name_Hall '-C 2yc'
loop_
_atom_site_label
_atom_site_type_symbol
_atom_site_fract_x
_atom_site_fract_y
_atom_site_fract_z
Ag1 Ag 0.0000 0.0217 0.2500
W1 W 0.0000 0.5000 0.0000
F1 F 0.0000 0.4503 0.2500
F2 F 0.0167 0.2215 0.9849
F3 F 0.2266 0.4778 0.6100
```

The 6 most intense peaks (10 to 90 degrees two-theta), by angle:
| 2theta | intensity | (hkl) |
| --- | --- | --- |
| 20.41 | 85.6 | 2 0 0 |
| 24.93 | 100.0 | 1 1 -2 |
| 25.11 | 49.3 | 0 2 0 |
| 32.00 | 29.3 | 1 1 2 |
| 32.57 | 28.8 | 2 2 0 |
| 32.87 | 27.3 | 3 1 -2 |